For CsK, a DFT-relaxed cell (PBE, Alexandria) gives the computed PXRD pattern in this record (Cu Kα, 1.54184 Å).

Crystal structure
```
data_CsK
_chemical_formula_sum 'Cs6 K6'
_symmetry_space_group_name_H-M 'I m m 2'
_symmetry_Int_Tables_number 44
_symmetry_space_group_name_Hall 'I 2 -2'
_cell_length_a 8.0330
_cell_length_b 14.2758
_cell_length_c 9.6739
_cell_angle_alpha 90.00
_cell_angle_beta 90.00
_cell_angle_gamma 90.00
loop_
_atom_site_label
_atom_site_type_symbol
_atom_site_fract_x
_atom_site_fract_y
_atom_site_fract_z
_atom_site_occupancy
Cs1 Cs 0.0000 0.0000 0.0000 1
Cs2 Cs 0.0000 0.3242 0.2548 1
K1 K 0.0000 0.0000 0.5000 1
K2 K 0.0000 0.3479 0.7610 1
```

Most intense lines, 2θ from 10° to 80°, in order of rising 2θ:
hkl 1 0 1, 2θ 14.3, 6.180 Å, rel. 371
hkl 1 2 1, 2θ 19.0, 4.672 Å, rel. 253
hkl 1 3 0, 2θ 21.7, 4.094 Å, rel. 1000
hkl 2 0 0, 2θ 22.2, 4.011 Å, rel. 950
hkl 1 1 2, 2θ 22.3, 3.979 Å, rel. 817
hkl 2 2 2, 2θ 31.5, 2.836 Å, rel. 371
hkl 3 3 0, 2θ 38.6, 2.335 Å, rel. 377
hkl 1 3 4, 2θ 43.5, 2.082 Å, rel. 301


For Sm4SnPt2, a DFT-relaxed cell (PBE, Alexandria) gives the computed PXRD pattern in this record (Cu Kα, 1.54184 Å).

Crystal structure
```
data_Sm4SnPt2
_chemical_formula_sum 'Sm16 Sn4 Pt8'
_symmetry_space_group_name_H-M 'C 1 2/c 1'
_symmetry_Int_Tables_number 15
_symmetry_space_group_name_Hall '-C 2yc'
_cell_length_a 13.3870
_cell_length_b 9.3001
_cell_length_c 9.5483
_cell_angle_alpha 90.00
_cell_angle_beta 134.47
_cell_angle_gamma 90.00
loop_
_atom_site_label
_atom_site_type_symbol
_atom_site_fract_x
_atom_site_fract_y
_atom_site_fract_z
_atom_site_occupancy
Sm1 Sm 0.0051 0.2076 0.0724 1
Sm2 Sm 0.1827 0.4576 0.9276 1
Sn1 Sn 0.0000 0.1247 0.7500 1
Pt1 Pt 0.0000 0.5000 0.0000 1
Pt2 Pt 0.2500 0.2500 0.5000 1
```

Most intense lines, 2θ from 10° to 80°, in order of rising 2θ:
hkl 1 1 -1, 2θ 13.3, 6.663 Å, rel. 436
hkl 2 0 0, 2θ 18.6, 4.775 Å, rel. 243
hkl 0 0 2, 2θ 26.2, 3.407 Å, rel. 431
hkl 4 0 -2, 2θ 26.6, 3.347 Å, rel. 491
hkl 1 3 -1, 2θ 30.3, 2.949 Å, rel. 1000
hkl 1 1 2, 2θ 35.0, 2.567 Å, rel. 539
hkl 5 1 -2, 2θ 35.5, 2.527 Å, rel. 565
hkl 4 0 0, 2θ 37.7, 2.388 Å, rel. 493


For Mg, a DFT-relaxed cell (PBE, Alexandria) gives the computed PXRD pattern in this record (Cu Kα, 1.54184 Å).

Crystal structure
```
data_Mg
_chemical_formula_sum 'Mg2'
_symmetry_space_group_name_H-M 'I m -3 m'
_symmetry_Int_Tables_number 229
_symmetry_space_group_name_Hall '-I 4 2 3'
_cell_length_a 3.5820
_cell_length_b 3.5820
_cell_length_c 3.5820
_cell_angle_alpha 90.00
_cell_angle_beta 90.00
_cell_angle_gamma 90.00
loop_
_atom_site_label
_atom_site_type_symbol
_atom_site_fract_x
_atom_site_fract_y
_atom_site_fract_z
_atom_site_occupancy
Mg1 Mg 0.0000 0.0000 0.0000 1
```

Most intense lines, 2θ from 10° to 80°, in order of rising 2θ:
hkl 1 1 0, 2θ 35.4, 2.533 Å, rel. 1000
hkl 2 0 0, 2θ 51.0, 1.791 Å, rel. 170
hkl 2 1 1, 2θ 63.6, 1.462 Å, rel. 336
hkl 2 2 0, 2θ 75.0, 1.266 Å, rel. 100


For ZrTl5S5, a DFT-relaxed cell (PBE, Alexandria) gives the computed PXRD pattern in this record (Cu Kα, 1.54184 Å).

Crystal structure
```
data_ZrTl5S5
_chemical_formula_sum 'Zr2 Tl10 S10'
_symmetry_space_group_name_H-M 'C 1 2/m 1'
_symmetry_Int_Tables_number 12
_symmetry_space_group_name_Hall '-C 2y'
_cell_length_a 15.2080
_cell_length_b 5.2910
_cell_length_c 8.6763
_cell_angle_alpha 90.00
_cell_angle_beta 116.13
_cell_angle_gamma 90.00
loop_
_atom_site_label
_atom_site_type_symbol
_atom_site_fract_x
_atom_site_fract_y
_atom_site_fract_z
_atom_site_occupancy
Zr1 Zr 0.0000 0.0000 0.0000 1
Tl1 Tl 0.0000 0.0000 0.5000 1
Tl2 Tl 0.1310 0.5000 0.7907 1
Tl3 Tl 0.2057 0.5000 0.2795 1
S1 S 0.0000 0.5000 0.0000 1
S2 S 0.1159 0.0000 0.3249 1
S3 S 0.1544 0.0000 0.9532 1
```

Most intense lines, 2θ from 10° to 80°, in order of rising 2θ:
hkl 3 1 0, 2θ 25.8, 3.450 Å, rel. 955
hkl 4 0 -2, 2θ 26.1, 3.420 Å, rel. 375
hkl 1 1 -2, 2θ 26.8, 3.325 Å, rel. 1000
hkl 2 0 2, 2θ 31.0, 2.881 Å, rel. 546
hkl 3 1 1, 2θ 31.7, 2.825 Å, rel. 496
hkl 0 2 0, 2θ 33.9, 2.645 Å, rel. 657
hkl 3 1 -3, 2θ 35.7, 2.517 Å, rel. 359
hkl 2 2 2, 2θ 46.6, 1.948 Å, rel. 474


For Ag6GeAu, a DFT-relaxed cell (PBE, Alexandria) gives the computed PXRD pattern in this record (Cu Kα, 1.54184 Å).

Crystal structure
```
data_Ag6GeAu
_chemical_formula_sum 'Ag6 Ge1 Au1'
_symmetry_space_group_name_H-M 'P -1'
_symmetry_Int_Tables_number 2
_symmetry_space_group_name_Hall '-P 1'
_cell_length_a 5.2932
_cell_length_b 5.3078
_cell_length_c 5.3267
_cell_angle_alpha 94.16
_cell_angle_beta 93.91
_cell_angle_gamma 93.65
loop_
_atom_site_label
_atom_site_type_symbol
_atom_site_fract_x
_atom_site_fract_y
_atom_site_fract_z
_atom_site_occupancy
Ag1 Ag 0.0295 0.2477 0.4452 1
Ag2 Ag 0.2526 0.0551 0.9676 1
Ag3 Ag 0.4478 0.5301 0.7476 1
Ge1 Ge 0.0000 0.5000 0.0000 1
Au1 Au 0.5000 0.0000 0.5000 1
```

Most intense lines, 2θ from 10° to 80°, in order of rising 2θ:
hkl 2 0 0, 2θ 34.0, 2.637 Å, rel. 433
hkl 2 0 -1, 2θ 37.0, 2.429 Å, rel. 279
hkl 1 2 0, 2θ 39.2, 2.298 Å, rel. 1000
hkl 2 0 1, 2θ 39.3, 2.293 Å, rel. 488
hkl 1 1 -2, 2θ 40.1, 2.249 Å, rel. 493
hkl 1 -2 1, 2θ 40.3, 2.240 Å, rel. 480
hkl -2 1 1, 2θ 40.4, 2.232 Å, rel. 469
hkl 1 -1 2, 2θ 41.3, 2.187 Å, rel. 298


For La3ErHg4, a DFT-relaxed cell (PBE, Alexandria) gives the computed PXRD pattern in this record (Cu Kα, 1.54184 Å).

Crystal structure
```
data_La3ErHg4
_chemical_formula_sum 'La3 Er1 Hg4'
_symmetry_space_group_name_H-M 'P 4/m m m'
_symmetry_Int_Tables_number 123
_symmetry_space_group_name_Hall '-P 4 2'
_cell_length_a 3.8091
_cell_length_b 3.8091
_cell_length_c 15.7863
_cell_angle_alpha 90.00
_cell_angle_beta 90.00
_cell_angle_gamma 90.00
loop_
_atom_site_label
_atom_site_type_symbol
_atom_site_fract_x
_atom_site_fract_y
_atom_site_fract_z
_atom_site_occupancy
La1 La 0.0000 0.0000 0.0000 1
La2 La 0.0000 0.0000 0.2578 1
Er1 Er 0.0000 0.0000 0.5000 1
Hg1 Hg 0.5000 0.5000 0.1274 1
Hg2 Hg 0.5000 0.5000 0.3918 1
```

Most intense lines, 2θ from 10° to 80°, in order of rising 2θ:
hkl 1 0 4, 2θ 32.7, 2.741 Å, rel. 1000
hkl 1 1 0, 2θ 33.3, 2.693 Å, rel. 507
hkl 0 0 8, 2θ 46.0, 1.973 Å, rel. 81
hkl 2 0 0, 2θ 47.8, 1.905 Å, rel. 186
hkl 1 1 8, 2θ 57.9, 1.592 Å, rel. 165
hkl 2 1 4, 2θ 59.1, 1.564 Å, rel. 373
hkl 2 0 8, 2θ 68.5, 1.370 Å, rel. 100
hkl 3 1 0, 2θ 79.6, 1.205 Å, rel. 85


For Cs2Be2HgCl6, a DFT-relaxed cell (PBE, Alexandria) gives the computed PXRD pattern in this record (Cu Kα, 1.54184 Å).

Crystal structure
```
data_Cs2Be2HgCl6
_chemical_formula_sum 'Cs2 Be2 Hg1 Cl6'
_symmetry_space_group_name_H-M 'P -1'
_symmetry_Int_Tables_number 2
_symmetry_space_group_name_Hall '-P 1'
_cell_length_a 7.2326
_cell_length_b 7.2978
_cell_length_c 9.3419
_cell_angle_alpha 103.27
_cell_angle_beta 90.50
_cell_angle_gamma 119.47
loop_
_atom_site_label
_atom_site_type_symbol
_atom_site_fract_x
_atom_site_fract_y
_atom_site_fract_z
_atom_site_occupancy
Cs1 Cs 0.1761 0.3519 0.2288 1
Be1 Be 0.1536 0.3000 0.7819 1
Hg1 Hg 0.5000 0.0000 0.5000 1
Cl1 Cl 0.1202 0.7939 0.1490 1
Cl2 Cl 0.2440 0.4832 0.6480 1
Cl3 Cl 0.3329 0.2042 0.8525 1
```

Most intense lines, 2θ from 10° to 80°, in order of rising 2θ:
hkl 1 0 -1, 2θ 16.1, 5.506 Å, rel. 796
hkl 1 -1 1, 2θ 16.2, 5.460 Å, rel. 782
hkl 2 -1 0, 2θ 24.6, 3.616 Å, rel. 411
hkl 1 1 0, 2θ 25.1, 3.554 Å, rel. 1000
hkl -1 1 2, 2θ 25.9, 3.440 Å, rel. 378
hkl 1 0 2, 2θ 26.0, 3.422 Å, rel. 370
hkl 0 2 -1, 2θ 28.2, 3.168 Å, rel. 604
hkl -2 2 1, 2θ 31.7, 2.825 Å, rel. 571


For Hg2I2Cl, a DFT-relaxed cell (PBE, Alexandria) gives the computed PXRD pattern in this record (Cu Kα, 1.54184 Å).

Crystal structure
```
data_Hg2I2Cl
_chemical_formula_sum 'Hg8 I8 Cl4'
_symmetry_space_group_name_H-M 'I 41 m d'
_symmetry_Int_Tables_number 109
_symmetry_space_group_name_Hall 'I 4bw -2'
_cell_length_a 8.6396
_cell_length_b 8.6396
_cell_length_c 13.8311
_cell_angle_alpha 90.00
_cell_angle_beta 90.00
_cell_angle_gamma 90.00
loop_
_atom_site_label
_atom_site_type_symbol
_atom_site_fract_x
_atom_site_fract_y
_atom_site_fract_z
_atom_site_occupancy
Hg1 Hg 0.0000 0.2127 0.0000 1
I1 I 0.0000 0.2263 0.2255 1
Cl1 Cl 0.0000 0.0000 0.7002 1
```

Most intense lines, 2θ from 10° to 80°, in order of rising 2θ:
hkl 1 0 1, 2θ 12.1, 7.328 Å, rel. 1000
hkl 1 0 3, 2θ 21.9, 4.067 Å, rel. 187
hkl 2 1 1, 2θ 23.9, 3.721 Å, rel. 318
hkl 0 0 4, 2θ 25.8, 3.458 Å, rel. 274
hkl 2 2 0, 2θ 29.2, 3.055 Å, rel. 303
hkl 3 2 1, 2θ 38.1, 2.361 Å, rel. 182
hkl 2 2 4, 2θ 39.4, 2.289 Å, rel. 268
hkl 2 1 5, 2θ 40.1, 2.249 Å, rel. 146


For BaIn2GaIr2, a DFT-relaxed cell (PBE, Alexandria) gives the computed PXRD pattern in this record (Cu Kα, 1.54184 Å).

Crystal structure
```
data_BaIn2GaIr2
_chemical_formula_sum 'Ba1 In2 Ga1 Ir2'
_symmetry_space_group_name_H-M 'P 4/m m m'
_symmetry_Int_Tables_number 123
_symmetry_space_group_name_Hall '-P 4 2'
_cell_length_a 4.7500
_cell_length_b 4.7500
_cell_length_c 6.4112
_cell_angle_alpha 90.00
_cell_angle_beta 90.00
_cell_angle_gamma 90.00
loop_
_atom_site_label
_atom_site_type_symbol
_atom_site_fract_x
_atom_site_fract_y
_atom_site_fract_z
_atom_site_occupancy
Ba1 Ba 0.0000 0.0000 0.0000 1
In1 In 0.5000 0.5000 0.2498 1
Ga1 Ga 0.0000 0.0000 0.5000 1
Ir1 Ir 0.0000 0.5000 0.5000 1
```

Most intense lines, 2θ from 10° to 80°, in order of rising 2θ:
hkl 0 0 1, 2θ 13.8, 6.411 Å, rel. 825
hkl 1 1 1, 2θ 30.0, 2.975 Å, rel. 1000
hkl 1 0 2, 2θ 33.7, 2.657 Å, rel. 753
hkl 2 0 0, 2θ 37.9, 2.375 Å, rel. 947
hkl 1 1 2, 2θ 38.8, 2.319 Å, rel. 440
hkl 2 1 2, 2θ 51.6, 1.771 Å, rel. 439
hkl 2 2 0, 2θ 54.7, 1.679 Å, rel. 326
hkl 2 0 4, 2θ 70.9, 1.329 Å, rel. 298


For LiCe2PrSe5, a DFT-relaxed cell (PBE, Alexandria) gives the computed PXRD pattern in this record (Cu Kα, 1.54184 Å).

Crystal structure
```
data_LiCe2PrSe5
_chemical_formula_sum 'Li4 Ce8 Pr4 Se20'
_symmetry_space_group_name_H-M 'C 1 m 1'
_symmetry_Int_Tables_number 8
_symmetry_space_group_name_Hall 'C -2y'
_cell_length_a 17.5027
_cell_length_b 4.1912
_cell_length_c 12.5892
_cell_angle_alpha 90.00
_cell_angle_beta 90.06
_cell_angle_gamma 90.00
loop_
_atom_site_label
_atom_site_type_symbol
_atom_site_fract_x
_atom_site_fract_y
_atom_site_fract_z
_atom_site_occupancy
Li1 Li 0.0000 0.0000 0.0000 1
Li2 Li 0.0252 0.0000 0.4998 1
Ce1 Ce 0.1223 0.5000 0.2004 1
Ce2 Ce 0.1346 0.5000 0.8149 1
Ce3 Ce 0.3902 0.0000 0.3154 1
Ce4 Ce 0.4032 0.0000 0.7011 1
Pr1 Pr 0.2089 0.5000 0.5179 1
Pr2 Pr 0.3162 0.0000 0.0179 1
Se1 Se 0.0119 0.0000 0.8021 1
Se2 Se 0.0133 0.0000 0.3021 1
Se3 Se 0.0548 0.5000 0.5930 1
Se4 Se 0.1480 0.0000 0.0176 1
Se5 Se 0.2024 0.0000 0.3529 1
Se6 Se 0.2224 0.0000 0.6851 1
Se7 Se 0.3028 0.5000 0.1853 1
Se8 Se 0.3229 0.5000 0.8532 1
Se9 Se 0.3771 0.5000 0.5172 1
Se10 Se 0.4703 0.0000 0.0929 1
```

Most intense lines, 2θ from 10° to 80°, in order of rising 2θ:
hkl 4 0 -1, 2θ 21.5, 4.133 Å, rel. 106
hkl 1 1 -3, 2θ 30.6, 2.924 Å, rel. 1000
hkl 6 0 -1, 2θ 31.5, 2.842 Å, rel. 333
hkl 5 1 0, 2θ 33.3, 2.687 Å, rel. 119
hkl 5 1 2, 2θ 36.4, 2.471 Å, rel. 614
hkl 0 2 0, 2θ 43.2, 2.096 Å, rel. 322
hkl 6 0 -5, 2θ 47.7, 1.906 Å, rel. 115
hkl 6 2 -1, 2θ 54.4, 1.687 Å, rel. 151


For CaScIn4O8, a DFT-relaxed cell (PBE, Alexandria) gives the computed PXRD pattern in this record (Cu Kα, 1.54184 Å).

Crystal structure
```
data_CaScIn4O8
_chemical_formula_sum 'Ca3 Sc3 In12 O24'
_symmetry_space_group_name_H-M 'R 3 m'
_symmetry_Int_Tables_number 160
_symmetry_space_group_name_Hall 'R 3 -2"'
_cell_length_a 6.6277
_cell_length_b 6.6277
_cell_length_c 16.0853
_cell_angle_alpha 90.00
_cell_angle_beta 90.00
_cell_angle_gamma 120.00
loop_
_atom_site_label
_atom_site_type_symbol
_atom_site_fract_x
_atom_site_fract_y
_atom_site_fract_z
_atom_site_occupancy
Ca1 Ca 0.0000 0.0000 0.0000 1
Sc1 Sc 0.0000 0.0000 0.3716 1
In1 In 0.0000 0.0000 0.7507 1
In2 In 0.0022 0.5011 0.8755 1
O1 O 0.0000 0.0000 0.1400 1
O2 O 0.0000 0.0000 0.6135 1
O3 O 0.0335 0.5168 0.1271 1
O4 O 0.1877 0.3755 0.9580 1
```

Most intense lines, 2θ from 10° to 80°, in order of rising 2θ:
hkl 0 0 3, 2θ 16.5, 5.362 Å, rel. 218
hkl 1 0 4, 2θ 27.1, 3.293 Å, rel. 258
hkl 0 2 1, 2θ 31.7, 2.822 Å, rel. 1000
hkl 0 1 5, 2θ 31.9, 2.806 Å, rel. 236
hkl 0 2 4, 2θ 38.5, 2.336 Å, rel. 234
hkl 1 2 5, 2θ 50.7, 1.800 Å, rel. 281
hkl 2 2 0, 2θ 55.5, 1.657 Å, rel. 258
hkl 2 0 8, 2θ 55.8, 1.647 Å, rel. 254


For Dy2HoCd3, a DFT-relaxed cell (PBE, Alexandria) gives the computed PXRD pattern in this record (Cu Kα, 1.54184 Å).

Crystal structure
```
data_Dy2HoCd3
_chemical_formula_sum 'Dy2 Ho1 Cd3'
_symmetry_space_group_name_H-M 'P 4/m m m'
_symmetry_Int_Tables_number 123
_symmetry_space_group_name_Hall '-P 4 2'
_cell_length_a 3.7410
_cell_length_b 3.7410
_cell_length_c 11.2045
_cell_angle_alpha 90.00
_cell_angle_beta 90.00
_cell_angle_gamma 90.00
loop_
_atom_site_label
_atom_site_type_symbol
_atom_site_fract_x
_atom_site_fract_y
_atom_site_fract_z
_atom_site_occupancy
Dy1 Dy 0.0000 0.0000 0.1670 1
Ho1 Ho 0.0000 0.0000 0.5000 1
Cd1 Cd 0.5000 0.5000 0.0000 1
Cd2 Cd 0.5000 0.5000 0.3345 1
```

Most intense lines, 2θ from 10° to 80°, in order of rising 2θ:
hkl 1 0 0, 2θ 23.8, 3.739 Å, rel. 33
hkl 1 1 0, 2θ 33.9, 2.644 Å, rel. 1000
hkl 1 1 3, 2θ 41.8, 2.159 Å, rel. 11
hkl 2 0 0, 2θ 48.7, 1.869 Å, rel. 179
hkl 2 0 3, 2θ 54.9, 1.672 Å, rel. 16
hkl 2 1 3, 2θ 60.7, 1.526 Å, rel. 365
hkl 2 2 0, 2θ 71.3, 1.322 Å, rel. 112
hkl 2 2 3, 2θ 76.4, 1.246 Å, rel. 8